BaCuNi2F8: simulated X-ray diffraction stick pattern (copper Kα), based on a structure optimized by DFT (PBE+U).

Principal peaks in the range 10° ≤ 2θ ≤ 90°, low angle first:
| 2θ (°) | d (Å) | Rel. int. |
| --- | --- | --- |
| 20.21 | 4.394 | 27 |
| 24.16 | 3.683 | 100 |
| 27.88 | 3.200 | 61 |
| 28.09 | 3.176 | 44 |
| 30.37 | 2.943 | 24 |
| 30.70 | 2.912 | 30 |
| 35.49 | 2.529 | 21 |
| 38.87 | 2.317 | 30 |
| 47.02 | 1.933 | 24 |
| 47.96 | 1.897 | 22 |

Atomic structure:
Lattice parameters (Å, degrees): 4.683 5.126 7.626 84.74 89.03 81.88
Space group P-1 (No. 2)
Symmetry-distinct sites (fractional):
Ba: 0.000 0.000 0.000 x1
Cu: 0.000 0.000 0.500 x1
Ni: 0.483 0.467 0.690 x2
F: 0.142 0.776 0.318 x2
F: 0.149 0.752 0.707 x2
F: 0.357 0.289 0.491 x2
F: 0.419 0.280 0.920 x2